No. 1
Starting from a structure optimized by DFT (PBE), the powder XRD pattern of Pm4AlGe3 was simulated for CuKα.
Peak positions follow from Bragg's law for the DFT cell and can differ from measured ones.

The 8 most intense peaks (10° ≤ 2θ ≤ 90°), low angle first:
2θ/deg, intensity, hkl
27.11, 28, 1 0 2
30.77, 100, 1 1 1
31.32, 42, 0 1 3
32.13, 29, 0 0 4
38.50, 48, 1 1 3
40.40, 26, 0 2 0
44.48, 19, 2 0 0
55.40, 17, 2 1 3

Atomic structure:
a = 4.074 Å, b = 4.465 Å, c = 11.144 Å
α = 90.00°, β = 90.00°, γ = 90.00°
Space group Pmm2 (No. 25)
One atom of each set of equivalent atoms:
Pm: 0.000 0.000 0.000 [1 per cell]
Pm: 0.000 0.500 0.496 [1 per cell]
Pm: 0.500 0.000 0.275 [1 per cell]
Pm: 0.500 0.500 0.780 [1 per cell]
Al: 0.500 0.000 0.567 [1 per cell]
Ge: 0.000 0.000 0.717 [1 per cell]
Ge: 0.000 0.500 0.216 [1 per cell]
Ge: 0.500 0.500 0.056 [1 per cell]

---

No. 2
Starting from a structure optimized by DFT (PBE), the powder XRD pattern of NaDyNiTe3 was simulated for CuKα.
Peak positions follow from Bragg's law for the DFT cell and can differ from measured ones.

The 8 most intense peaks (10° ≤ 2θ ≤ 90°), low angle first:
2θ/deg, intensity, hkl
11.34, 100, 0 2 0
23.85, 29, 1 1 1
27.63, 96, 0 2 3
28.89, 50, 1 3 1
32.43, 69, 1 3 2
40.01, 57, 1 5 2
40.79, 30, 1 1 4
43.95, 26, 2 0 0

Atomic structure:
a = 4.120 Å, b = 15.606 Å, c = 10.638 Å
α = 90.00°, β = 90.00°, γ = 90.00°
Space group Cmcm (No. 63)
One atom of each set of equivalent atoms:
Na: 0.000 0.249 0.250 [4 per cell]
Dy: 0.000 0.000 0.000 [4 per cell]
Ni: 0.000 0.488 0.750 [4 per cell]
Te: 0.000 0.090 0.750 [4 per cell]
Te: 0.000 0.368 0.587 [8 per cell]

---

No. 3
Starting from a structure optimized by DFT (PBE), the powder XRD pattern of GdPF was simulated for CuKα.
Peak positions follow from Bragg's law for the DFT cell and can differ from measured ones.

The 8 most intense peaks (10° ≤ 2θ ≤ 90°), low angle first:
2θ/deg, intensity, hkl
24.33, 39, 1 1 0
26.63, 100, 0 2 1
29.47, 31, 0 4 0
32.17, 65, 1 3 0
33.13, 64, 1 1 1
39.40, 77, 1 3 1
50.57, 32, 0 6 1
55.17, 28, 2 2 1

Atomic structure:
a = 3.838 Å, b = 12.123 Å, c = 4.015 Å
α = 90.00°, β = 90.00°, γ = 90.00°
Space group Cmc2_1 (No. 36)
One atom of each set of equivalent atoms:
Gd: 0.000 0.130 0.000 [4 per cell]
P: 0.000 0.453 0.999 [4 per cell]
F: 0.000 0.246 0.502 [4 per cell]

---

No. 4
Starting from a structure optimized by DFT (PBE), the powder XRD pattern of Dy2Y5Fe2Te2 was simulated for CuKα.
Peak positions follow from Bragg's law for the DFT cell and can differ from measured ones.

The 8 most intense peaks (10° ≤ 2θ ≤ 90°), low angle first:
2θ/deg, intensity, hkl
24.77, 37, 1 0 1
30.39, 41, 1 1 2
33.39, 91, 0 3 3
33.75, 100, 1 4 1
34.48, 81, 1 3 2
38.69, 34, 1 2 3
46.66, 37, 2 0 0
58.58, 36, 2 3 3

Atomic structure:
a = 3.893 Å, b = 15.763 Å, c = 9.365 Å
α = 90.00°, β = 90.00°, γ = 90.00°
Space group Imm2 (No. 44)
One atom of each set of equivalent atoms:
Dy: 0.000 0.187 0.000 [4 per cell]
Y: 0.000 0.149 0.642 [4 per cell]
Y: 0.000 0.366 0.794 [4 per cell]
Y: 0.000 0.500 0.378 [2 per cell]
Fe: 0.000 0.262 0.309 [4 per cell]
Te: 0.000 0.000 0.141 [2 per cell]
Te: 0.000 0.500 0.042 [2 per cell]

---

No. 5
Starting from a structure optimized by DFT (PBE), the powder XRD pattern of Tm4Si4Ni2Sn was simulated for CuKα.
Peak positions follow from Bragg's law for the DFT cell and can differ from measured ones.

The 8 most intense peaks (10° ≤ 2θ ≤ 90°), low angle first:
2θ/deg, intensity, hkl
22.36, 39, 1 1 0
28.69, 45, 3 1 0
33.82, 67, 2 0 2
34.53, 87, 3 1 1
35.19, 99, 3 1 -2
35.99, 42, 6 0 -1
37.19, 100, 1 1 2
43.68, 56, 0 2 0

Atomic structure:
a = 14.979 Å, b = 4.144 Å, c = 6.931 Å
α = 90.00°, β = 109.38°, γ = 90.00°
Space group C2/m (No. 12)
One atom of each set of equivalent atoms:
Tm: 0.087 0.000 0.383 [4 per cell]
Tm: 0.156 0.000 0.938 [4 per cell]
Si: 0.068 0.500 0.652 [4 per cell]
Si: 0.205 0.500 0.264 [4 per cell]
Ni: 0.219 0.500 0.621 [4 per cell]
Sn: 0.000 0.500 0.000 [2 per cell]

---

No. 6
Starting from a structure optimized by DFT (PBE), the powder XRD pattern of Li4Mg2CdGe was simulated for CuKα.
Peak positions follow from Bragg's law for the DFT cell and can differ from measured ones.

The 8 most intense peaks (10° ≤ 2θ ≤ 90°), low angle first:
2θ/deg, intensity, hkl
23.54, 100, 1 0 1
28.06, 18, 1 1 0
38.31, 56, 1 1 2
40.10, 25, 2 0 0
43.86, 19, 1 0 3
47.02, 31, 2 1 1
60.92, 14, 2 1 3
71.67, 17, 3 1 2

Atomic structure:
a = 4.497 Å, b = 4.497 Å, c = 6.971 Å
α = 90.00°, β = 90.00°, γ = 90.00°
Space group P-4m2 (No. 115)
One atom of each set of equivalent atoms:
Li: 0.000 0.000 0.000 [1 per cell]
Li: 0.000 0.500 0.233 [2 per cell]
Li: 0.500 0.500 0.500 [1 per cell]
Mg: 0.000 0.500 0.765 [2 per cell]
Cd: 0.000 0.000 0.500 [1 per cell]
Ge: 0.500 0.500 0.000 [1 per cell]